No. 1
Theoretical X-ray diffraction stick pattern of Pm4SiH2 for λ = 1.5418 Å (Cu Kα), from a crystal structure in Alexandria, relaxed with PBE.

Principal peaks in the range 2θ from 15° to 90°, low angle first:
24.3°, rel. 25.7, (2 1 1); 26.2°, rel. 49.9, (2 2 0); 28.6°, rel. 21.0, (1 1 2); 29.4°, rel. 53.3, (3 1 0); 30.6°, rel. 39.4, (3 0 1); 31.5°, rel. 100.0, (2 0 2); 36.0°, rel. 31.9, (3 2 1); 39.2°, rel. 19.6, (3 1 2); 49.1°, rel. 32.1, (5 0 1); 51.9°, rel. 23.6, (0 0 4)

```
data_Pm4SiH2
_chemical_formula_sum 'Pm16 Si4 H8'
_cell_length_a 9.6188
_cell_length_b 9.6188
_cell_length_c 7.0331
_cell_angle_alpha 90.00
_cell_angle_beta 90.00
_cell_angle_gamma 90.00
_symmetry_space_group_name_H-M 'I -4 2 d'
_symmetry_Int_Tables_number 122
_symmetry_space_group_name_Hall 'I -4 2bw'
loop_
_atom_site_label
_atom_site_fract_x
_atom_site_fract_y
_atom_site_fract_z
_atom_site_occupancy
Pm1 0.0538 0.7026 0.3999 1
Si1 0.0000 0.0000 0.5000 1
H1 0.0695 0.2500 0.1250 1
```



No. 2
Theoretical X-ray diffraction stick pattern of Pm7Si3H2 for λ = 1.5418 Å (Cu Kα), from a crystal structure in Alexandria, relaxed with PBE.

Principal peaks in the range 2θ from 15° to 90°, low angle first:
32.7°, rel. 100.0, (1 5 1); 35.5°, rel. 16.9, (0 10 0); 37.7°, rel. 18.2, (2 0 0); 40.6°, rel. 14.8, (0 0 2); 52.7°, rel. 10.9, (2 10 0); 55.0°, rel. 10.3, (0 10 2); 56.5°, rel. 11.2, (2 0 2); 64.9°, rel. 13.9, (3 5 1); 68.6°, rel. 10.6, (2 10 2); 68.8°, rel. 11.6, (1 5 3)

```
data_Pm7Si3H2
_chemical_formula_sum 'Pm14 Si6 H4'
_cell_length_a 4.7779
_cell_length_b 25.2547
_cell_length_c 4.4490
_cell_angle_alpha 90.00
_cell_angle_beta 90.00
_cell_angle_gamma 90.00
_symmetry_space_group_name_H-M 'C m m m'
_symmetry_Int_Tables_number 65
_symmetry_space_group_name_Hall '-C 2 2'
loop_
_atom_site_label
_atom_site_fract_x
_atom_site_fract_y
_atom_site_fract_z
_atom_site_occupancy
Pm1 0.0000 0.0000 0.0000 1
Pm2 0.0000 0.0949 0.5000 1
Pm3 0.0000 0.2094 0.0000 1
Pm4 0.0000 0.3909 0.0000 1
Si1 0.0000 0.3099 0.5000 1
Si2 0.0000 0.5000 0.5000 1
H1 0.0000 0.1148 0.0000 1
```



No. 3
Theoretical X-ray diffraction stick pattern of Pm2Si2Tc2H for λ = 1.5418 Å (Cu Kα), from a crystal structure in Alexandria, relaxed with PBE.

Principal peaks in the range 2θ from 15° to 90°, low angle first:
22.4°, rel. 28.3, (1 0 1); 28.3°, rel. 98.4, (1 0 3); 33.1°, rel. 90.0, (1 1 2); 36.8°, rel. 34.1, (0 0 6); 39.5°, rel. 100.0, (1 1 4); 43.9°, rel. 62.6, (2 0 0); 53.1°, rel. 34.9, (2 1 3); 58.6°, rel. 35.0, (2 0 6); 77.7°, rel. 27.0, (3 1 4); 78.4°, rel. 20.9, (0 0 12)

```
data_Pm2Si2Tc2H
_chemical_formula_sum 'Pm4 Si4 Tc4 H2'
_cell_length_a 4.1242
_cell_length_b 4.1242
_cell_length_c 14.6447
_cell_angle_alpha 90.00
_cell_angle_beta 90.00
_cell_angle_gamma 90.00
_symmetry_space_group_name_H-M 'I 4/m m m'
_symmetry_Int_Tables_number 139
_symmetry_space_group_name_Hall '-I 4 2'
loop_
_atom_site_label
_atom_site_fract_x
_atom_site_fract_y
_atom_site_fract_z
_atom_site_occupancy
Pm1 0.0000 0.0000 0.1618 1
Si1 0.0000 0.0000 0.3971 1
Tc1 0.0000 0.5000 0.0000 1
H1 0.0000 0.0000 0.0000 1
```